Starting from DFT lattice parameters and positions (PBE), the powder diffractogram of CsHg3Pd was calculated for Cu Kα, 1.54184 Å.
No peak broadening, texture or thermal motion is included.

Cell and atoms:
```
CsHg3Pd
1.0
5.660 0.000 0.000
-2.830 4.902 0.000
0.000 0.000 10.961
Cs Hg Pd
2 6 2
Cartesian
0.000 3.268 2.740
2.830 1.634 8.221
0.000 0.000 2.740
0.000 0.000 8.221
0.000 3.268 6.258
0.000 3.268 10.183
2.830 1.634 0.778
2.830 1.634 4.703
0.000 0.000 0.000
0.000 0.000 5.480
```

The 10 most intense peaks (2θ from 15° to 90°), low angle first:
2theta, d [Å], I/Imax, hkl
24.36, 3.654, 12, 1 0 2
30.52, 2.929, 63, 1 0 3
31.61, 2.830, 100, 1 1 0
37.61, 2.392, 15, 1 0 4
44.51, 2.035, 23, 2 0 3
46.11, 1.969, 12, 1 1 4
55.62, 1.652, 24, 2 1 3
56.30, 1.634, 21, 3 0 0
60.30, 1.535, 23, 1 1 6
66.02, 1.415, 14, 2 2 0